CaSnP2O7: calculated powder XRD pattern (a wavelength of 1.5418 Å), based on DFT lattice parameters and positions (PBE).

Principal peaks in the range 2θ = 10–90°, low angle first:
hkl 1 0 0, 2θ 14.2, I = 20.9; hkl 1 0 1, 2θ 15.2, I = 15.2; hkl 0 1 -1, 2θ 19.3, I = 29.4; hkl 0 2 0, 2θ 25.8, I = 15.6; hkl 2 0 1, 2θ 26.1, I = 37.3; hkl 0 0 2, 2θ 28.0, I = 100.0; hkl 1 2 0, 2θ 28.7, I = 14.8; hkl 0 2 1, 2θ 28.9, I = 41.2; hkl 0 2 -1, 2θ 29.9, I = 42.6; hkl 2 -1 0, 2θ 32.4, I = 19.1

Crystal structure
```
data_CaSnP2O7
_chemical_formula_sum 'Ca2 Sn2 P4 O14'
_space_group_name_H-M_alt 'P -1'
_space_group_IT_number 2
_cell_length_a 6.8742
_cell_length_b 6.9466
_cell_length_c 7.0330
_cell_angle_alpha 85.81
_cell_angle_beta 65.12
_cell_angle_gamma 84.58
loop_
_space_group_symop_operation_xyz
'x,y,z'
'-x,-y,-z'
loop_
_atom_site_label
_atom_site_type_symbol
_atom_site_fract_x
_atom_site_fract_y
_atom_site_fract_z
Ca1 Ca 0.2303 0.1378 0.3366
Sn1 Sn 0.3885 0.3361 0.7536
P1 P 0.1464 0.6507 0.1940
P2 P 0.2642 0.8465 0.7594
O1 O 0.0846 0.3316 0.6379
O2 O 0.1084 0.9149 0.6628
O3 O 0.1237 0.7294 0.9743
O4 O 0.2458 0.4431 0.1560
O5 O 0.2904 0.7903 0.2265
O6 O 0.3742 0.0061 0.8118
O7 O 0.4540 0.7081 0.6172
```



AlCu3S6: calculated powder XRD pattern (a wavelength of 1.5418 Å), based on DFT lattice parameters and positions (PBE).

Principal peaks in the range 2θ = 10–90°, low angle first:
hkl 1 0 3, 2θ 19.3, I = 49.7; hkl 1 1 6, 2θ 30.2, I = 100.0; hkl 1 0 9, 2θ 31.7, I = 15.0; hkl 2 1 3, 2θ 40.1, I = 15.9; hkl 2 1 9, 2θ 47.8, I = 9.0; hkl 2 2 0, 2θ 50.0, I = 21.7; hkl 2 0 12, 2θ 50.6, I = 41.4; hkl 3 1 6, 2θ 59.6, I = 24.9; hkl 1 1 18, 2θ 60.5, I = 13.6; hkl 3 1 18, 2θ 82.3, I = 10.9

Crystal structure
```
data_AlCu3S6
_chemical_formula_sum 'Al4 Cu12 S24'
_space_group_name_H-M_alt 'I -4 2 d'
_space_group_IT_number 122
_space_group_name_Hall 'I -4 2bw'
_cell_length_a 5.1562
_cell_length_b 5.1562
_cell_length_c 30.3291
_cell_angle_alpha 90.00
_cell_angle_beta 90.00
_cell_angle_gamma 90.00
loop_
_atom_site_label
_atom_site_type_symbol
_atom_site_fract_x
_atom_site_fract_y
_atom_site_fract_z
Al1 Al 0.0000 0.0000 0.0000
Cu1 Cu 0.0000 0.0000 0.1647
Cu2 Cu 0.0000 0.0000 0.5000
S1 S 0.2416 0.2441 0.7061
S2 S 0.2427 0.7500 0.1250
```



LaMg6BO8: calculated powder XRD pattern (a wavelength of 1.5418 Å), based on DFT lattice parameters and positions (PBE).

Principal peaks in the range 2θ = 10–90°, low angle first:
hkl 1 0 0, 2θ 19.9, I = 55.0; hkl 1 0 1, 2θ 22.2, I = 86.1; hkl 1 0 2, 2θ 28.0, I = 48.1; hkl 1 1 2, 2θ 34.6, I = 46.2; hkl 1 0 3, 2θ 35.8, I = 25.1; hkl 0 0 4, 2θ 39.6, I = 47.3; hkl 2 0 0, 2θ 40.4, I = 100.0; hkl 2 0 4, 2θ 57.9, I = 55.1; hkl 2 2 0, 2θ 58.5, I = 35.0; hkl 2 2 4, 2θ 73.0, I = 25.4

Crystal structure
```
data_LaMg6BO8
_chemical_formula_sum 'La1 Mg6 B1 O8'
_space_group_name_H-M_alt 'P 4/m m m'
_space_group_IT_number 123
_space_group_name_Hall '-P 4 2'
_cell_length_a 4.4628
_cell_length_b 4.4628
_cell_length_c 9.1046
_cell_angle_alpha 90.00
_cell_angle_beta 90.00
_cell_angle_gamma 90.00
loop_
_atom_site_label
_atom_site_type_symbol
_atom_site_fract_x
_atom_site_fract_y
_atom_site_fract_z
La1 La 0.0000 0.0000 0.0000
Mg1 Mg 0.0000 0.0000 0.5000
Mg2 Mg 0.0000 0.5000 0.2709
Mg3 Mg 0.5000 0.5000 0.5000
B1 B 0.5000 0.5000 0.0000
O1 O 0.0000 0.0000 0.2722
O2 O 0.0000 0.5000 0.0000
O3 O 0.0000 0.5000 0.5000
O4 O 0.5000 0.5000 0.2748
```



KAsO3: calculated powder XRD pattern (a wavelength of 1.5418 Å), based on DFT lattice parameters and positions (PBE).

Principal peaks in the range 2θ = 10–90°, low angle first:
hkl 2 0 0, 2θ 15.3, I = 25.6; hkl 2 2 0, 2θ 21.5, I = 28.3; hkl 0 2 1, 2θ 23.2, I = 25.1; hkl 3 1 0, 2θ 24.2, I = 13.6; hkl 2 2 1, 2θ 27.9, I = 100.0; hkl 0 4 0, 2θ 30.2, I = 14.2; hkl 0 0 2, 2θ 35.7, I = 25.9; hkl 0 4 2, 2θ 47.5, I = 17.9; hkl 5 3 1, 2θ 49.1, I = 11.6; hkl 2 2 3, 2θ 59.5, I = 13.5

Crystal structure
```
data_KAsO3
_chemical_formula_sum 'K8 As8 O24'
_space_group_name_H-M_alt 'P b c n'
_space_group_IT_number 60
_cell_length_a 11.5879
_cell_length_b 11.8308
_cell_length_c 5.0290
_cell_angle_alpha 90.00
_cell_angle_beta 90.00
_cell_angle_gamma 90.00
loop_
_space_group_symop_operation_xyz
'x,y,z'
'-x,-y,-z'
'-x+1/2,-y+1/2,z+1/2'
'x+1/2,y+1/2,-z+1/2'
'x+1/2,-y+1/2,-z'
'-x+1/2,y+1/2,z'
'-x,y,-z+1/2'
'x,-y,z+1/2'
loop_
_atom_site_label
_atom_site_type_symbol
_atom_site_fract_x
_atom_site_fract_y
_atom_site_fract_z
K1 K 0.0000 0.1097 0.2500
K2 K 0.0000 0.3119 0.7500
As1 As 0.2305 0.4124 0.2217
O1 O 0.1259 0.0997 0.7470
O2 O 0.1387 0.3075 0.2877
O3 O 0.1859 0.4588 0.8933
```